No. 1
Starting from DFT lattice parameters and positions (GGA-PBE), the PXRD pattern of KMg6SiO8 was computed for CuKα.
Intensities are scaled so that the largest is 100.

Atomic structure:
Cell: 4.4355 4.4355 8.6881 Å, 90.00 90.00 90.00°
Space group P4/mmm (No. 123)
Inequivalent atoms, fractional coordinates:
K 0.0000 0.0000 0.0000 x1
Mg 0.0000 0.0000 0.5000 x1
Mg 0.0000 0.5000 0.2533 x4
Mg 0.5000 0.5000 0.5000 x1
Si 0.5000 0.5000 0.0000 x1
O 0.0000 0.0000 0.2762 x2
O 0.0000 0.5000 0.0000 x2
O 0.0000 0.5000 0.5000 x2
O 0.5000 0.5000 0.2347 x2

Peak list (10 most intense, 15 to 90 degrees two-theta, sorted by position)
- hkl 1 1 2, 2θ 35.3, d 2.543, I = 21
- hkl 1 0 3, 2θ 37.1, d 2.425, I = 3
- hkl 2 0 0, 2θ 40.7, d 2.218, I = 100
- hkl 0 0 4, 2θ 41.6, d 2.172, I = 44
- hkl 2 2 0, 2θ 58.9, d 1.568, I = 29
- hkl 2 0 4, 2θ 59.6, d 1.552, I = 52
- hkl 3 1 2, 2θ 70.6, d 1.335, I = 9
- hkl 1 1 6, 2θ 71.8, d 1.315, I = 5
- hkl 2 2 4, 2θ 74.7, d 1.271, I = 24
- hkl 4 0 0, 2θ 88.1, d 1.109, I = 8

=====

No. 2
Starting from DFT lattice parameters and positions (GGA-PBE), the PXRD pattern of K4MgTi2O6 was computed for CuKα.
Intensities are scaled so that the largest is 100.

Atomic structure:
Cell: 8.1584 10.8581 5.7168 Å, 90.00 106.09 90.00°
Space group Cm (No. 8)
Inequivalent atoms, fractional coordinates:
K 0.0000 0.1696 0.0000 x4
K 0.1642 0.2645 0.5478 x4
Mg 0.4071 0.5000 0.4191 x2
Ti 0.0028 0.5000 0.9857 x2
Ti 0.3681 0.0000 0.4299 x2
O 0.1357 0.0000 0.3444 x2
O 0.2343 0.5000 0.0936 x2
O 0.4283 0.1170 0.2069 x4
O 0.4384 0.1166 0.7122 x4

Peak list (10 most intense, 15 to 90 degrees two-theta, sorted by position)
- hkl 2 0 0, 2θ 22.7, d 3.919, I = 64
- hkl 0 2 1, 2θ 23.0, d 3.861, I = 47
- hkl 2 2 0, 2θ 28.1, d 3.178, I = 75
- hkl 2 2 -1, 2θ 29.1, d 3.065, I = 100
- hkl 1 3 -1, 2θ 30.0, d 2.976, I = 84
- hkl 2 0 1, 2θ 31.5, d 2.840, I = 58
- hkl 0 0 2, 2θ 32.6, d 2.746, I = 48
- hkl 1 3 1, 2θ 33.4, d 2.686, I = 62
- hkl 1 3 -2, 2θ 40.3, d 2.239, I = 64
- hkl 4 0 -1, 2θ 44.6, d 2.033, I = 44

=====

No. 3
Starting from DFT lattice parameters and positions (GGA-PBE), the PXRD pattern of K4MgTi2O6 was computed for CuKα.
Intensities are scaled so that the largest is 100.

Atomic structure:
Cell: 8.1303 11.3505 5.6635 Å, 90.00 103.81 90.00°
Space group C2 (No. 5)
Inequivalent atoms, fractional coordinates:
K 0.1911 0.0000 0.2890 x4
K 0.2309 0.3883 0.1644 x4
Mg 0.0000 0.2428 0.5000 x2
Ti 0.0691 0.6790 0.2722 x4
O 0.0000 0.5709 0.0000 x2
O 0.0000 0.5748 0.5000 x2
O 0.0000 0.7960 0.0000 x2
O 0.0000 0.7958 0.5000 x2
O 0.2037 0.1506 0.6462 x4

Peak list (10 most intense, 15 to 90 degrees two-theta, sorted by position)
- hkl 0 2 1, 2θ 22.5, d 3.949, I = 36
- hkl 2 2 0, 2θ 27.5, d 3.241, I = 100
- hkl 1 3 -1, 2θ 29.3, d 3.043, I = 95
- hkl 2 0 1, 2θ 30.9, d 2.896, I = 34
- hkl 1 3 1, 2θ 32.3, d 2.774, I = 71
- hkl 1 1 -2, 2θ 32.8, d 2.731, I = 45
- hkl 3 1 -1, 2θ 35.0, d 2.563, I = 67
- hkl 1 3 -2, 2θ 39.9, d 2.258, I = 36
- hkl 1 3 2, 2θ 44.4, d 2.040, I = 29
- hkl 4 2 1, 2θ 55.5, d 1.656, I = 32